[1]
For Pr4MgTl5, DFT lattice parameters and positions (GGA-PBE) gives the simulated PXRD pattern in this record (a wavelength of 1.5418 Å).
Peak positions follow from Bragg's law for the DFT cell and can differ from measured ones.

Structure:
a b c (Å): 3.7226 3.7226 20.8669
angles (deg): 90.00 90.00 90.00
Fractional coordinates of all 10 atoms:
Pr 0.0000 0.0000 0.1042
Pr 0.0000 0.0000 0.3135
Pr 0.0000 0.0000 0.6865
Pr 0.0000 0.0000 0.8958
Mg 0.0000 0.0000 0.5000
Tl 0.5000 0.5000 0.0000
Tl 0.5000 0.5000 0.2095
Tl 0.5000 0.5000 0.4173
Tl 0.5000 0.5000 0.5827
Tl 0.5000 0.5000 0.7905

The 10 most intense peaks (2θ = 15–90°), by intensity:
- 2θ 32.2, I = 100
- 2θ 34.1, I = 49
- 2θ 59.8, I = 35
- 2θ 48.9, I = 18
- 2θ 56.3, I = 14
- 2θ 29.5, I = 11
- 2θ 52.6, I = 9
- 2θ 87.9, I = 9
- 2θ 67.7, I = 8
- 2θ 81.8, I = 8



[2]
For Pr3Mg4Tl2, DFT lattice parameters and positions (GGA-PBE) gives the simulated PXRD pattern in this record (a wavelength of 1.5418 Å).
Peak positions follow from Bragg's law for the DFT cell and can differ from measured ones.

Structure:
a b c (Å): 6.2823 6.2823 9.7083
angles (deg): 116.48 116.48 48.30
Fractional coordinates of all 9 atoms:
Pr 0.0000 0.0000 0.0000
Pr 0.3378 0.3378 0.3277
Pr 0.6622 0.6622 0.6723
Mg 0.0752 0.0752 0.4058
Mg 0.2878 0.2878 0.9534
Mg 0.7122 0.7122 0.0466
Mg 0.9248 0.9248 0.5942
Tl 0.3891 0.3891 0.7248
Tl 0.6109 0.6109 0.2752

The 10 most intense peaks (2θ = 15–90°), by intensity:
- 2θ 34.7, I = 100
- 2θ 32.0, I = 98
- 2θ 31.8, I = 71
- 2θ 34.9, I = 50
- 2θ 15.6, I = 40
- 2θ 19.4, I = 38
- 2θ 47.9, I = 36
- 2θ 25.3, I = 33
- 2θ 31.7, I = 32
- 2θ 60.7, I = 25



[3]
For Pr9Mg2Tl, DFT lattice parameters and positions (GGA-PBE) gives the simulated PXRD pattern in this record (a wavelength of 1.5418 Å).
Peak positions follow from Bragg's law for the DFT cell and can differ from measured ones.

Structure:
a b c (Å): 5.0588 5.0588 15.1964
angles (deg): 90.00 90.00 90.00
Fractional coordinates of all 12 atoms:
Pr 0.0000 0.0000 0.0000
Pr 0.0000 0.0000 0.3343
Pr 0.0000 0.0000 0.6657
Pr 0.0000 0.5000 0.1654
Pr 0.0000 0.5000 0.5000
Pr 0.0000 0.5000 0.8346
Pr 0.5000 0.0000 0.1654
Pr 0.5000 0.0000 0.5000
Pr 0.5000 0.0000 0.8346
Mg 0.5000 0.5000 0.3331
Mg 0.5000 0.5000 0.6669
Tl 0.5000 0.5000 0.0000

The 10 most intense peaks (2θ = 15–90°), by intensity:
- 2θ 30.6, I = 100
- 2θ 35.5, I = 51
- 2θ 60.7, I = 43
- 2θ 51.0, I = 36
- 2θ 83.2, I = 17
- 2θ 63.7, I = 12
- 2θ 85.9, I = 11
- 2θ 85.9, I = 5
- 2θ 18.5, I = 4
- 2θ 17.5, I = 4



[4]
For Pr2Tm3Mg3, DFT lattice parameters and positions (GGA-PBE) gives the simulated PXRD pattern in this record (a wavelength of 1.5418 Å).
Peak positions follow from Bragg's law for the DFT cell and can differ from measured ones.

Structure:
a b c (Å): 9.5147 9.5147 9.5147
angles (deg): 33.40 33.40 33.40
Fractional coordinates of all 8 atoms:
Pr 0.0000 0.0000 0.0000
Pr 0.4979 0.4979 0.4979
Tm 0.2534 0.2534 0.2534
Tm 0.7467 0.7467 0.7467
Tm 0.8739 0.8739 0.8739
Mg 0.1271 0.1271 0.1271
Mg 0.3744 0.3744 0.3744
Mg 0.6218 0.6218 0.6218

The 10 most intense peaks (2θ = 15–90°), by intensity:
- 2θ 32.8, I = 100
- 2θ 32.6, I = 100
- 2θ 58.4, I = 57
- 2θ 23.0, I = 45
- 2θ 46.9, I = 36
- 2θ 58.2, I = 18
- 2θ 78.1, I = 16
- 2θ 77.9, I = 16
- 2θ 19.9, I = 14
- 2θ 68.7, I = 12



[5]
For Pr3Tm2Mg3, DFT lattice parameters and positions (GGA-PBE) gives the simulated PXRD pattern in this record (a wavelength of 1.5418 Å).
Peak positions follow from Bragg's law for the DFT cell and can differ from measured ones.

Structure:
a b c (Å): 3.7900 5.5760 22.7016
angles (deg): 90.00 90.00 90.00
Fractional coordinates of all 16 atoms:
Pr 0.0000 0.0000 0.0000
Pr 0.0000 0.5000 0.1271
Pr 0.0000 0.5000 0.8729
Pr 0.5000 0.0000 0.3729
Pr 0.5000 0.0000 0.6271
Pr 0.5000 0.5000 0.5000
Tm 0.0000 0.0000 0.2365
Tm 0.0000 0.0000 0.7635
Tm 0.5000 0.5000 0.2635
Tm 0.5000 0.5000 0.7365
Mg 0.0000 0.0000 0.5000
Mg 0.0000 0.5000 0.3792
Mg 0.0000 0.5000 0.6208
Mg 0.5000 0.0000 0.1208
Mg 0.5000 0.0000 0.8792
Mg 0.5000 0.5000 0.0000

The 10 most intense peaks (2θ = 15–90°), by intensity:
- 2θ 32.6, I = 100
- 2θ 32.1, I = 27
- 2θ 31.5, I = 24
- 2θ 25.3, I = 23
- 2θ 57.6, I = 20
- 2θ 45.6, I = 17
- 2θ 23.8, I = 15
- 2θ 56.8, I = 14
- 2θ 76.1, I = 13
- 2θ 19.8, I = 11



[6]
For Pr6TmMg, DFT lattice parameters and positions (GGA-PBE) gives the simulated PXRD pattern in this record (a wavelength of 1.5418 Å).
Peak positions follow from Bragg's law for the DFT cell and can differ from measured ones.

Structure:
a b c (Å): 5.1158 5.1158 10.2776
angles (deg): 90.00 90.00 90.00
Fractional coordinates of all 8 atoms:
Pr 0.0000 0.0000 0.0000
Pr 0.0000 0.0000 0.5000
Pr 0.0000 0.5000 0.2482
Pr 0.0000 0.5000 0.7518
Pr 0.5000 0.0000 0.2482
Pr 0.5000 0.0000 0.7518
Tm 0.5000 0.5000 0.5000
Mg 0.5000 0.5000 0.0000

The 10 most intense peaks (2θ = 15–90°), by intensity:
- 2θ 30.2, I = 100
- 2θ 35.1, I = 34
- 2θ 59.9, I = 28
- 2θ 50.3, I = 24
- 2θ 34.9, I = 17
- 2θ 59.7, I = 14
- 2θ 62.8, I = 12
- 2θ 50.5, I = 12
- 2θ 81.9, I = 12
- 2θ 84.7, I = 11